For CsHRuSe, the GGA-PBE geometry in Alexandria gives the computed powder diffraction line list in this record (Cu Kα X-rays).
Kinematic intensities with the Lorentz-polarization factor, no thermal factor.

Crystal structure
```
data_CsHRuSe
_chemical_formula_sum 'Cs1 H1 Ru1 Se1'
_space_group_name_H-M_alt 'P 1'
_space_group_IT_number 1
_space_group_name_Hall 'P 1'
_cell_length_a 4.1275
_cell_length_b 4.1275
_cell_length_c 6.4077
_cell_angle_alpha 90.07
_cell_angle_beta 90.07
_cell_angle_gamma 60.06
loop_
_atom_site_label
_atom_site_fract_x
_atom_site_fract_y
_atom_site_fract_z
Cs1 0.0000 0.0000 0.0000
H1 0.6667 0.6667 0.2239
Ru1 0.6661 0.6661 0.4775
Se1 0.3327 0.3327 0.5441
```

Top 10 peaks for 10° ≤ 2θ ≤ 90°, by angle:
- d = 3.204 Å, 27.85 deg, I 31
- d = 3.122 Å, 28.59 deg, I 100
- d = 2.386 Å, 37.70 deg, I 6
- d = 2.064 Å, 43.86 deg, I 30
- d = 1.834 Å, 49.72 deg, I 21
- d = 1.735 Å, 52.75 deg, I 31
- d = 1.722 Å, 53.19 deg, I 17
- d = 1.322 Å, 71.32 deg, I 13
- d = 1.142 Å, 84.89 deg, I 6
- d = 1.117 Å, 87.26 deg, I 6